No. 1
Simulated X-ray diffraction stick pattern
Compound: Sc2Si6Ni9
Radiation: Cu Kα X-rays
Structure: a structure optimized by DFT (PBE)
Neutral-atom scattering factors, no anomalous dispersion.

Atomic structure:
a = 4.9889 Å, b = 4.9889 Å, c = 10.9119 Å
α = 90.00°, β = 90.00°, γ = 120.00°
Sites, in units of the cell vectors:
Sc 0.0000 0.0000 0.1800
Sc 0.0000 0.0000 0.8200
Si 0.3333 0.6667 0.1655
Si 0.3333 0.6667 0.5000
Si 0.3333 0.6667 0.8345
Si 0.6667 0.3333 0.1655
Si 0.6667 0.3333 0.5000
Si 0.6667 0.3333 0.8345
Ni 0.0000 0.5000 0.0000
Ni 0.0000 0.5000 0.3314
Ni 0.0000 0.5000 0.6686
Ni 0.5000 0.0000 0.0000
Ni 0.5000 0.0000 0.3314
Ni 0.5000 0.0000 0.6686
Ni 0.5000 0.5000 0.0000
Ni 0.5000 0.5000 0.3314
Ni 0.5000 0.5000 0.6686

Main lines, sorted by position (2θ from 10° to 90°):
2θ 20.56, intensity 59, hkl 1 0 0
2θ 24.47, intensity 35, hkl 0 0 3
2θ 32.17, intensity 38, hkl 1 0 3
2θ 41.82, intensity 82, hkl 2 0 0
2θ 44.02, intensity 82, hkl 1 1 3
2θ 49.05, intensity 100, hkl 2 0 3
2θ 50.16, intensity 31, hkl 0 0 6
2θ 67.30, intensity 34, hkl 2 0 6
2θ 70.30, intensity 19, hkl 3 0 3
2θ 76.36, intensity 26, hkl 2 2 0

No. 2
Simulated X-ray diffraction stick pattern
Compound: Sc4Si7Ni
Radiation: Cu Kα X-rays
Structure: a structure optimized by DFT (PBE)
Neutral-atom scattering factors, no anomalous dispersion.

Atomic structure:
a = 3.6679 Å, b = 3.8468 Å, c = 13.9463 Å
α = 90.00°, β = 90.00°, γ = 90.00°
Sites, in units of the cell vectors:
Sc 0.0000 0.0000 0.0000
Sc 0.0000 0.5000 0.4829
Sc 0.5000 0.0000 0.1787
Sc 0.5000 0.5000 0.6937
Si 0.0000 0.0000 0.3339
Si 0.0000 0.0000 0.6404
Si 0.0000 0.5000 0.1321
Si 0.0000 0.5000 0.8548
Si 0.5000 0.0000 0.5295
Si 0.5000 0.0000 0.8530
Si 0.5000 0.5000 0.3254
Ni 0.5000 0.5000 0.9929

Main lines, sorted by position (2θ from 10° to 90°):
2θ 12.69, intensity 10, hkl 0 0 2
2θ 38.74, intensity 17, hkl 0 0 6
2θ 39.07, intensity 100, hkl 1 1 3
2θ 47.26, intensity 18, hkl 0 2 0
2θ 49.71, intensity 14, hkl 2 0 0
2θ 62.70, intensity 8, hkl 0 2 6
2θ 64.75, intensity 7, hkl 2 0 6
2θ 71.02, intensity 9, hkl 2 2 0
2θ 82.32, intensity 10, hkl 1 3 3
2θ 86.01, intensity 9, hkl 3 1 3